# 1
BaLa2CoS5: theoretical powder diffractogram (Cu Kα (λ = 1.5418 Å)), based on the GGA-PBE geometry in the Materials Project.

Top 10 peaks for 15 to 90 degrees two-theta, in order of rising 2θ:
d (Å)	2θ/deg	I (rel.)
3.454	25.8	38
3.439	25.9	80
3.380	26.4	33
2.824	31.7	26
2.800	32.0	100
2.526	35.5	43
2.167	41.7	21
2.156	41.9	33
1.962	46.3	19
1.916	47.4	27

Atomic structure:
```
18
Lattice="-3.994 3.994 6.759 3.994 -3.994 6.759 3.994 3.994 -6.759" Properties=species:S:1:pos:R:3 pbc="T T T"
Ba 0.000 0.000 3.380
Ba 0.000 0.000 10.139
La 5.307 1.312 0.000
La 1.312 2.682 0.000
La 2.682 1.312 6.759
La -1.312 2.682 6.759
Co 3.994 0.000 3.380
Co 0.000 3.994 3.380
S 0.000 0.000 0.000
S 2.828 1.166 -1.860
S 2.828 -1.166 4.899
S 2.828 1.166 1.860
S 2.828 -1.166 8.619
S 0.000 0.000 6.759
S 1.166 5.161 -1.860
S 1.166 2.828 4.899
S 1.166 5.161 1.860
S 1.166 2.828 8.619
```


# 2
Eu3IrO7: theoretical powder diffractogram (Cu Kα (λ = 1.5418 Å)), based on the GGA-PBE geometry in the Materials Project.

Top 10 peaks for 15 to 90 degrees two-theta, in order of rising 2θ:
d (Å)	2θ/deg	I (rel.)
3.097	28.8	100
3.081	29.0	92
2.715	33.0	25
2.656	33.7	47
1.899	47.9	50
1.886	48.3	17
1.632	56.4	11
1.629	56.5	11
1.608	57.3	27
1.601	57.6	19

Atomic structure:
```
22
Lattice="5.430 -3.741 0.000 5.430 3.741 0.000 0.000 0.000 7.542" Properties=species:S:1:pos:R:3 pbc="T T T"
Eu 0.000 0.000 0.000
Eu 0.000 0.000 3.771
Eu 2.944 1.548 5.657
Eu 2.944 -1.548 1.886
Eu 7.915 1.548 5.657
Eu 7.915 -1.548 1.886
Ir 5.430 0.000 0.000
Ir 5.430 0.000 3.771
O 1.441 0.183 1.886
O 1.441 -0.183 5.657
O 4.065 1.376 0.296
O 4.065 1.376 3.475
O 5.430 0.661 5.657
O 6.794 1.376 0.296
O 6.794 1.376 3.475
O 4.065 -1.376 4.067
O 4.065 -1.376 7.246
O 5.430 -0.661 1.886
O 6.794 -1.376 4.067
O 6.794 -1.376 7.246
O 9.418 0.183 1.886
O 9.418 -0.183 5.657
```